# 1
Diffraction record for Pu5U3Si4. The X-ray diffraction stick pattern is theoretical, not measured: it uses the PBE geometry in Alexandria and a wavelength of 1.5418 Å.
Peak positions follow from Bragg's law for the DFT cell and can differ from measured ones.

Crystal structure
```
12
Lattice="5.9586 0.0000 0.0000 0.0000 4.6637 0.0000 -2.7701 0.0000 8.5565" Properties=species:S:1:pos:R:3 pbc="T T T"
Pu 0.0000 0.0000 0.0000
Pu -0.2817 0.0000 2.4180
Pu -0.4136 0.0000 6.0861
Pu 1.5266 2.3318 6.9900
Pu 3.9268 2.3318 4.5724
U 2.6089 0.0000 0.1654
U 1.3741 2.3318 4.3195
U 4.2951 2.3318 2.0895
Si -1.4069 2.3318 7.5001
Si 1.2399 2.3318 1.3944
Si 2.7849 0.0000 3.1595
Si 2.5341 0.0000 5.6444
```

Most intense lines, 2θ = 10–80°, in order of rising 2θ:
| 2θ/deg | I/Imax |
| --- | --- |
| 21.7 | 43 |
| 24.7 | 51 |
| 30.4 | 31 |
| 35.6 | 18 |
| 35.8 | 100 |
| 36.9 | 69 |
| 38.6 | 49 |
| 43.4 | 22 |
| 49.9 | 18 |
| 59.5 | 18 |


# 2
Diffraction record for Pu2V3Si4. The X-ray diffraction stick pattern is theoretical, not measured: it uses the PBE geometry in Alexandria and a wavelength of 1.5418 Å.
Peak positions follow from Bragg's law for the DFT cell and can differ from measured ones.

Crystal structure
```
18
Lattice="6.8016 0.0000 0.0000 0.0000 6.7536 0.0000 -2.3063 0.0000 6.3536" Properties=species:S:1:pos:R:3 pbc="T T T"
Pu 1.0757 1.0500 0.3529
Pu -0.0775 2.3268 3.5297
Pu 4.5727 4.4268 2.8238
Pu 3.4196 5.7036 6.0006
V 1.1794 4.5328 1.5985
V 0.0263 5.5975 4.7753
V 2.2476 0.0000 3.1768
V 3.4008 3.3768 0.0000
V 4.4690 1.1560 1.5783
V 3.3158 2.2208 4.7551
Si -1.3893 3.6820 5.5809
Si -0.2362 6.4484 2.4041
Si 1.3601 0.8993 5.5030
Si 2.5133 2.4775 2.3262
Si 1.9820 4.2761 4.0274
Si 3.1351 5.8542 0.8506
Si 4.7314 0.3052 3.9495
Si 5.8846 3.0716 0.7727
```

Most intense lines, 2θ = 10–80°, in order of rising 2θ:
| 2θ/deg | I/Imax |
| --- | --- |
| 19.1 | 100 |
| 26.7 | 31 |
| 31.0 | 60 |
| 34.9 | 43 |
| 35.2 | 53 |
| 37.8 | 64 |
| 38.0 | 30 |
| 38.1 | 53 |
| 42.3 | 50 |
| 42.6 | 43 |


# 3
Diffraction record for PuZn6Si2. The X-ray diffraction stick pattern is theoretical, not measured: it uses the PBE geometry in Alexandria and a wavelength of 1.5418 Å.
Peak positions follow from Bragg's law for the DFT cell and can differ from measured ones.

Crystal structure
```
9
Lattice="3.9677 0.0000 0.0000 0.0000 3.9677 0.0000 0.0000 0.0000 9.2915" Properties=species:S:1:pos:R:3 pbc="T T T"
Pu 0.0000 0.0000 0.0000
Zn 0.0000 0.0000 4.6458
Zn 0.0000 1.9839 2.7424
Zn 0.0000 1.9839 6.5491
Zn 1.9839 0.0000 2.7424
Zn 1.9839 0.0000 6.5491
Zn 1.9839 1.9839 4.6458
Si 1.9839 1.9839 1.1719
Si 1.9839 1.9839 8.1196
```

Most intense lines, 2θ = 10–80°, in order of rising 2θ:
| 2θ/deg | I/Imax |
| --- | --- |
| 22.4 | 14 |
| 24.4 | 28 |
| 29.6 | 27 |
| 33.4 | 16 |
| 36.8 | 21 |
| 37.4 | 100 |
| 45.2 | 13 |
| 45.7 | 38 |
| 66.7 | 12 |
| 79.1 | 22 |


# 4
Diffraction record for SmPu2Sn9. The X-ray diffraction stick pattern is theoretical, not measured: it uses the PBE geometry in Alexandria and a wavelength of 1.5418 Å.
Peak positions follow from Bragg's law for the DFT cell and can differ from measured ones.

Crystal structure
```
12
Lattice="4.6938 0.0000 0.0000 0.0000 4.6938 0.0000 0.0000 0.0000 14.0799" Properties=species:S:1:pos:R:3 pbc="T T T"
Sm 0.0000 0.0000 0.0000
Pu 0.0000 0.0000 4.7183
Pu 0.0000 0.0000 9.3616
Sn 0.0000 2.3469 2.3969
Sn 0.0000 2.3469 7.0400
Sn 0.0000 2.3469 11.6830
Sn 2.3469 0.0000 2.3969
Sn 2.3469 0.0000 7.0400
Sn 2.3469 0.0000 11.6830
Sn 2.3469 2.3469 0.0000
Sn 2.3469 2.3469 4.7170
Sn 2.3469 2.3469 9.3630
```

Most intense lines, 2θ = 10–80°, in order of rising 2θ:
| 2θ/deg | I/Imax |
| --- | --- |
| 18.9 | 6 |
| 26.9 | 5 |
| 33.1 | 100 |
| 38.4 | 50 |
| 43.1 | 3 |
| 47.4 | 2 |
| 55.4 | 36 |
| 59.0 | 2 |
| 66.0 | 43 |
| 69.4 | 12 |


# 5
Diffraction record for SrSmPu. The X-ray diffraction stick pattern is theoretical, not measured: it uses the PBE geometry in Alexandria and a wavelength of 1.5418 Å.
Peak positions follow from Bragg's law for the DFT cell and can differ from measured ones.

Crystal structure
```
6
Lattice="3.0925 -2.2173 0.0000 3.0925 2.2173 0.0000 -2.5659 0.0000 14.8723" Properties=species:S:1:pos:R:3 pbc="T T T"
Sr 0.2758 0.0000 5.7014
Sr 3.3433 0.0000 9.1709
Sm 0.2680 0.0000 12.3462
Sm 3.3510 0.0000 2.5261
Pu 1.1488 0.0000 0.1446
Pu 2.4702 0.0000 14.7278
```

Most intense lines, 2θ = 10–80°, in order of rising 2θ:
| 2θ/deg | I/Imax |
| --- | --- |
| 11.9 | 75 |
| 28.7 | 67 |
| 29.3 | 100 |
| 30.0 | 53 |
| 32.9 | 30 |
| 36.2 | 25 |
| 40.7 | 35 |
| 50.0 | 26 |
| 51.4 | 29 |
| 65.5 | 26 |


# 6
Diffraction record for Tb6Sm3Pu. The X-ray diffraction stick pattern is theoretical, not measured: it uses the PBE geometry in Alexandria and a wavelength of 1.5418 Å.
Peak positions follow from Bragg's law for the DFT cell and can differ from measured ones.

Crystal structure
```
10
Lattice="4.9209 2.8411 3.8811 -4.9209 2.8411 3.8811 0.0000 -5.6822 3.8811" Properties=species:S:1:pos:R:3 pbc="T T T"
Tb -1.5699 -2.9447 3.8811
Tb -3.2555 -0.0150 5.8362
Tb -1.7652 2.8320 3.8811
Tb 1.6408 -2.8119 5.8362
Tb 3.3352 0.1128 3.8811
Tb 1.6148 2.8269 5.8362
Sm 0.0000 0.0000 2.7566
Sm 0.0000 0.0000 5.7650
Sm 0.0000 0.0000 8.7466
Pu 0.0000 0.0000 11.5819
```

Most intense lines, 2θ = 10–80°, in order of rising 2θ:
| 2θ/deg | I/Imax |
| --- | --- |
| 29.3 | 61 |
| 31.5 | 100 |
| 32.5 | 17 |
| 41.8 | 16 |
| 43.6 | 21 |
| 49.7 | 12 |
| 54.7 | 21 |
| 56.1 | 19 |
| 57.5 | 15 |
| 65.7 | 12 |